Structure and computed X-ray powder pattern of Sc2BiI2 (the GGA-PBE geometry in Alexandria; λ = 1.5418 Å (Cu Kα)).
Kinematic intensities with the Lorentz-polarization factor, no thermal factor.

Largest 8 diffraction maxima, low angle first, 5 to 70 degrees two-theta:
(0 0 3), 8.0°, I 64
(0 0 9), 24.3°, I 30
(1 0 4), 26.8°, I 60
(0 1 5), 28.0°, I 100
(0 1 8), 32.9°, I 51
(1 1 0), 43.1°, I 46
(1 0 13), 43.5°, I 43
(1 1 9), 50.1°, I 27

Cell and atoms:
```
data_Sc2BiI2
_symmetry_space_group_name_H-M 'R -3 m'
_symmetry_Int_Tables_number 166
_symmetry_space_group_name_Hall '-R 3 2"'
_cell_length_a 4.1971
_cell_length_b 4.1971
_cell_length_c 32.9769
_cell_angle_alpha 90.00
_cell_angle_beta 90.00
_cell_angle_gamma 120.00
loop_
_atom_site_label
_atom_site_type_symbol
_atom_site_fract_x
_atom_site_fract_y
_atom_site_fract_z
Sc1 Sc 0.0000 0.0000 0.1158
Bi1 Bi 0.0000 0.0000 0.5000
I1 I 0.0000 0.0000 0.2725
```

Structure and computed X-ray powder pattern of Tb8Dy4Tm3 (the GGA-PBE geometry in Alexandria; λ = 1.5418 Å (Cu Kα)).
Kinematic intensities with the Lorentz-polarization factor, no thermal factor.

Largest 8 diffraction maxima, low angle first, 5 to 70 degrees two-theta:
(1 1 3), 27.0°, I 18
(0 2 1), 30.1°, I 28
(0 0 12), 30.6°, I 57
(0 2 4), 31.7°, I 100
(2 0 8), 36.4°, I 73
(0 2 16), 51.8°, I 23
(2 2 0), 53.2°, I 37
(2 2 12), 62.6°, I 45

Cell and atoms:
```
data_Tb8Dy4Tm3
_symmetry_space_group_name_H-M 'R -3 m'
_symmetry_Int_Tables_number 166
_symmetry_space_group_name_Hall '-R 3 2"'
_cell_length_a 6.8860
_cell_length_b 6.8860
_cell_length_c 35.0718
_cell_angle_alpha 90.00
_cell_angle_beta 90.00
_cell_angle_gamma 120.00
loop_
_atom_site_label
_atom_site_type_symbol
_atom_site_fract_x
_atom_site_fract_y
_atom_site_fract_z
Tb1 Tb 0.0000 0.0000 0.2448
Tb2 Tb 0.0017 0.5009 0.7508
Dy1 Dy 0.0000 0.0000 0.0000
Dy2 Dy 0.0000 0.0000 0.3362
Dy3 Dy 0.0000 0.0000 0.5000
Tm1 Tm 0.0000 0.5000 0.5000
```

Structure and computed X-ray powder pattern of PrThCO (the GGA-PBE geometry in Alexandria; λ = 1.5418 Å (Cu Kα)).
Kinematic intensities with the Lorentz-polarization factor, no thermal factor.

Largest 8 diffraction maxima, low angle first, 5 to 70 degrees two-theta:
(1 0 1), 29.5°, I 100
(1 1 0), 34.1°, I 47
(0 0 2), 34.3°, I 23
(2 0 0), 49.1°, I 17
(1 1 2), 49.2°, I 33
(2 1 1), 58.3°, I 31
(1 0 3), 58.5°, I 16
(2 0 2), 61.2°, I 17

Cell and atoms:
```
data_PrThCO
_symmetry_space_group_name_H-M 'P 4/m m m'
_symmetry_Int_Tables_number 123
_symmetry_space_group_name_Hall '-P 4 2'
_cell_length_a 3.7135
_cell_length_b 3.7135
_cell_length_c 5.2301
_cell_angle_alpha 90.00
_cell_angle_beta 90.00
_cell_angle_gamma 90.00
loop_
_atom_site_label
_atom_site_type_symbol
_atom_site_fract_x
_atom_site_fract_y
_atom_site_fract_z
Pr1 Pr 0.0000 0.0000 0.0000
Th1 Th 0.5000 0.5000 0.5000
C1 C 0.0000 0.0000 0.5000
O1 O 0.5000 0.5000 0.0000
```

Structure and computed X-ray powder pattern of RbBa2Mo2N6 (the GGA-PBE geometry in Alexandria; λ = 1.5418 Å (Cu Kα)).
Kinematic intensities with the Lorentz-polarization factor, no thermal factor.

Largest 8 diffraction maxima, low angle first, 5 to 70 degrees two-theta:
(0 0 1), 12.8°, I 38
(0 1 2), 25.9°, I 82
(-1 1 1), 26.8°, I 90
(1 1 -1), 27.5°, I 91
(0 2 0), 29.2°, I 63
(1 2 1), 31.4°, I 100
(0 1 -2), 33.0°, I 46
(1 0 -3), 43.9°, I 47

Cell and atoms:
```
data_RbBa2Mo2N6
_symmetry_space_group_name_H-M 'P -1'
_symmetry_Int_Tables_number 2
_cell_length_a 4.8703
_cell_length_b 6.4399
_cell_length_c 7.2276
_cell_angle_alpha 73.80
_cell_angle_beta 85.87
_cell_angle_gamma 80.39
loop_
_symmetry_equiv_pos_as_xyz
'x,y,z'
'-x,-y,-z'
loop_
_atom_site_label
_atom_site_type_symbol
_atom_site_fract_x
_atom_site_fract_y
_atom_site_fract_z
Rb1 Rb 0.0000 0.0000 0.0000
Ba1 Ba 0.2842 0.4884 0.7425
Mo1 Mo 0.2619 0.0609 0.3987
N1 N 0.0036 0.1867 0.5809
N2 N 0.2626 0.7498 0.3650
N3 N 0.3108 0.2641 0.1778
```

Structure and computed X-ray powder pattern of Rb4Np (the GGA-PBE geometry in Alexandria; λ = 1.5418 Å (Cu Kα)).
Kinematic intensities with the Lorentz-polarization factor, no thermal factor.

Largest 8 diffraction maxima, low angle first, 5 to 70 degrees two-theta:
(1 0 0), 11.2°, I 73
(1 1 0), 15.8°, I 69
(2 0 0), 22.5°, I 100
(2 1 0), 25.2°, I 47
(2 1 1), 27.6°, I 38
(2 2 0), 32.0°, I 82
(4 2 0), 51.7°, I 42
(4 2 2), 57.0°, I 31

Cell and atoms:
```
data_Rb4Np
_symmetry_space_group_name_H-M 'P m -3 m'
_symmetry_Int_Tables_number 221
_symmetry_space_group_name_Hall '-P 4 2 3'
_cell_length_a 7.9142
_cell_length_b 7.9142
_cell_length_c 7.9142
_cell_angle_alpha 90.00
_cell_angle_beta 90.00
_cell_angle_gamma 90.00
loop_
_atom_site_label
_atom_site_type_symbol
_atom_site_fract_x
_atom_site_fract_y
_atom_site_fract_z
Rb1 Rb 0.0000 0.0000 0.0000
Rb2 Rb 0.0000 0.5000 0.5000
Np1 Np 0.5000 0.5000 0.5000
```

Structure and computed X-ray powder pattern of Er12CdCo5 (the GGA-PBE geometry in Alexandria; λ = 1.5418 Å (Cu Kα)).
Kinematic intensities with the Lorentz-polarization factor, no thermal factor.

Largest 8 diffraction maxima, low angle first, 5 to 70 degrees two-theta:
(3 0 1), 30.2°, I 30
(1 3 0), 30.4°, I 37
(2 2 2), 32.8°, I 100
(1 2 3), 35.0°, I 53
(3 1 2), 35.6°, I 53
(2 3 1), 36.0°, I 48
(0 4 0), 38.7°, I 27
(3 5 2), 61.1°, I 29

Cell and atoms:
```
data_Er12CdCo5
_symmetry_space_group_name_H-M 'I m m m'
_symmetry_Int_Tables_number 71
_symmetry_space_group_name_Hall '-I 2 2'
_cell_length_a 9.3030
_cell_length_b 9.3106
_cell_length_c 9.7454
_cell_angle_alpha 90.00
_cell_angle_beta 90.00
_cell_angle_gamma 90.00
loop_
_atom_site_label
_atom_site_type_symbol
_atom_site_fract_x
_atom_site_fract_y
_atom_site_fract_z
Er1 Er 0.0000 0.1953 0.1852
Er2 Er 0.1846 0.2109 0.5000
Er3 Er 0.1926 0.5000 0.2885
Cd1 Cd 0.0000 0.5000 0.0000
Co1 Co 0.0000 0.0000 0.3867
Co2 Co 0.0000 0.5000 0.5000
Co3 Co 0.1237 0.0000 0.0000
```

Structure and computed X-ray powder pattern of Tl4Cu2S (the GGA-PBE geometry in Alexandria; λ = 1.5418 Å (Cu Kα)).
Kinematic intensities with the Lorentz-polarization factor, no thermal factor.

Largest 8 diffraction maxima, low angle first, 5 to 70 degrees two-theta:
(1 1 2), 25.9°, I 100
(0 0 4), 27.6°, I 13
(2 0 0), 31.1°, I 63
(1 0 5), 38.1°, I 23
(2 0 4), 42.0°, I 17
(2 2 0), 44.5°, I 24
(2 1 5), 50.0°, I 21
(3 1 2), 52.2°, I 29

Cell and atoms:
```
data_Tl4Cu2S
_symmetry_space_group_name_H-M 'I 4/m m m'
_symmetry_Int_Tables_number 139
_symmetry_space_group_name_Hall '-I 4 2'
_cell_length_a 5.7582
_cell_length_b 5.7582
_cell_length_c 12.9304
_cell_angle_alpha 90.00
_cell_angle_beta 90.00
_cell_angle_gamma 90.00
loop_
_atom_site_label
_atom_site_type_symbol
_atom_site_fract_x
_atom_site_fract_y
_atom_site_fract_z
Tl1 Tl 0.0000 0.0000 0.2081
Tl2 Tl 0.0000 0.5000 0.0000
Cu1 Cu 0.0000 0.0000 0.4107
S1 S 0.0000 0.0000 0.0000
```

Structure and computed X-ray powder pattern of Tb5Ge3B (the GGA-PBE geometry in Alexandria; λ = 1.5418 Å (Cu Kα)).
Kinematic intensities with the Lorentz-polarization factor, no thermal factor.

Largest 8 diffraction maxima, low angle first, 5 to 70 degrees two-theta:
(1 0 2), 30.2°, I 31
(2 1 0), 31.6°, I 40
(2 1 1), 34.6°, I 100
(1 1 2), 34.7°, I 80
(3 0 0), 35.9°, I 33
(2 2 2), 50.8°, I 22
(2 1 3), 53.6°, I 29
(4 0 2), 56.8°, I 20

Cell and atoms:
```
data_Tb5Ge3B
_symmetry_space_group_name_H-M 'P 63/m c m'
_symmetry_Int_Tables_number 193
_symmetry_space_group_name_Hall '-P 6c 2'
_cell_length_a 8.6591
_cell_length_b 8.6591
_cell_length_c 6.4368
_cell_angle_alpha 90.00
_cell_angle_beta 90.00
_cell_angle_gamma 120.00
loop_
_atom_site_label
_atom_site_type_symbol
_atom_site_fract_x
_atom_site_fract_y
_atom_site_fract_z
Tb1 Tb 0.0000 0.2372 0.2500
Tb2 Tb 0.3333 0.6667 0.0000
Ge1 Ge 0.0000 0.3995 0.7500
B1 B 0.0000 0.0000 0.0000
```

Structure and computed X-ray powder pattern of Ho6Si2Bi (the GGA-PBE geometry in Alexandria; λ = 1.5418 Å (Cu Kα)).
Kinematic intensities with the Lorentz-polarization factor, no thermal factor.

Largest 8 diffraction maxima, low angle first, 5 to 70 degrees two-theta:
(0 1 3), 27.4°, I 17
(3 1 0), 29.9°, I 24
(2 2 2), 31.7°, I 100
(2 1 3), 33.4°, I 20
(1 3 2), 34.3°, I 33
(2 3 1), 35.0°, I 18
(4 0 0), 38.1°, I 17
(5 3 2), 59.6°, I 17

Cell and atoms:
```
data_Ho6Si2Bi
_symmetry_space_group_name_H-M 'I m m m'
_symmetry_Int_Tables_number 71
_symmetry_space_group_name_Hall '-I 2 2'
_cell_length_a 9.4536
_cell_length_b 9.5682
_cell_length_c 10.3984
_cell_angle_alpha 90.00
_cell_angle_beta 90.00
_cell_angle_gamma 90.00
loop_
_atom_site_label
_atom_site_type_symbol
_atom_site_fract_x
_atom_site_fract_y
_atom_site_fract_z
Ho1 Ho 0.0000 0.2111 0.2429
Ho2 Ho 0.2009 0.5000 0.1804
Ho3 Ho 0.2203 0.3125 0.5000
Si1 Si 0.0000 0.3712 0.0000
Si2 Si 0.0000 0.5000 0.3847
Bi1 Bi 0.0000 0.0000 0.0000
Bi2 Bi 0.0000 0.0000 0.5000
```

Structure and computed X-ray powder pattern of CsSiSe3 (the GGA-PBE geometry in Alexandria; λ = 1.5418 Å (Cu Kα)).
Kinematic intensities with the Lorentz-polarization factor, no thermal factor.

Largest 8 diffraction maxima, low angle first, 5 to 70 degrees two-theta:
(0 0 2), 27.0°, I 100
(2 2 -1), 27.6°, I 97
(0 4 1), 29.7°, I 92
(2 2 1), 32.7°, I 41
(2 2 -2), 34.2°, I 27
(2 6 -1), 47.3°, I 19
(4 0 -2), 49.4°, I 16
(0 8 0), 54.3°, I 27

Cell and atoms:
```
data_CsSiSe3
_symmetry_space_group_name_H-M 'P 1 21/c 1'
_symmetry_Int_Tables_number 14
_cell_length_a 7.8107
_cell_length_b 13.4999
_cell_length_c 6.7861
_cell_angle_alpha 90.00
_cell_angle_beta 103.68
_cell_angle_gamma 90.00
loop_
_symmetry_equiv_pos_as_xyz
'x,y,z'
'-x,-y,-z'
'-x,y+1/2,-z+1/2'
'x,-y+1/2,z+1/2'
loop_
_atom_site_label
_atom_site_type_symbol
_atom_site_fract_x
_atom_site_fract_y
_atom_site_fract_z
Cs1 Cs 0.2451 0.0676 0.2158
Si1 Si 0.2776 0.7197 0.3270
Se1 Se 0.0389 0.6860 0.8318
Se2 Se 0.2173 0.5650 0.2047
Se3 Se 0.4640 0.7010 0.6511
```